Simulated powder diffractogram
Compound: KHoVF6
Radiation: Cu Kα
Structure: DFT lattice parameters and positions (GGA+U)
Kinematic intensities with the Lorentz-polarization factor, no thermal factor.

Principal peaks in the range 15° ≤ 2θ ≤ 90°, low angle first:
2θ 15.73, intensity 471, (0 0 2)
2θ 25.89, intensity 1000, (1 2 1)
2θ 26.35, intensity 231, (1 0 3)
2θ 26.97, intensity 370, (0 2 2)
2θ 27.88, intensity 589, (2 0 2)
2θ 34.43, intensity 311, (1 2 3)
2θ 45.55, intensity 289, (2 2 4)
2θ 46.72, intensity 217, (4 0 0)

Crystal structure
```
data_KHoVF6
_chemical_formula_sum 'K4 Ho4 V4 F24'
_space_group_name_H-M_alt 'I m m a'
_space_group_IT_number 74
_space_group_name_Hall '-I 2b 2'
_cell_length_a 7.775
_cell_length_b 8.165
_cell_length_c 11.270
_cell_angle_alpha 90.00
_cell_angle_beta 90.00
_cell_angle_gamma 90.00
loop_
_atom_site_label
_atom_site_type_symbol
_atom_site_fract_x
_atom_site_fract_y
_atom_site_fract_z
K1 K 0.000 0.250 0.036
Ho1 Ho 0.000 0.000 0.500
V1 V 0.250 0.250 0.750
F1 F 0.000 0.250 0.428
F2 F 0.000 0.250 0.812
F3 F 0.209 0.068 0.617
```